Theoretical X-ray diffraction stick pattern
Compound: ErCO4
Radiation: Cu Kα X-rays
Structure: a PBE-relaxed structure
No peak broadening, texture or thermal motion is included.

Structure:
Lattice parameters (Å, degrees): 4.8276 7.0438 8.7725 90.00 90.00 90.00
Fractional coordinates of all 24 atoms:
Er  0.0267  0.1259  0.1613
Er  0.4733  0.8741  0.6613
Er  0.5267  0.3741  0.8387
Er  0.9733  0.6259  0.3387
C  0.0077  0.0464  0.8276
C  0.4923  0.9536  0.3276
C  0.5077  0.4536  0.1724
C  0.9923  0.5464  0.6724
O  0.0311  0.8133  0.1426
O  0.0440  0.4469  0.7908
O  0.1806  0.6165  0.5838
O  0.2328  0.9261  0.3661
O  0.2672  0.0739  0.8661
O  0.3194  0.3835  0.0838
O  0.4560  0.5531  0.2908
O  0.4689  0.1867  0.6426
O  0.5311  0.6867  0.8574
O  0.5440  0.0531  0.2092
O  0.6806  0.8835  0.4162
O  0.7328  0.5739  0.6339
O  0.7672  0.4261  0.1339
O  0.8194  0.1165  0.9162
O  0.9560  0.9469  0.7092
O  0.9689  0.3133  0.3574

Largest 10 diffraction maxima, in order of rising 2θ, 15° ≤ 2θ ≤ 90°:
d/Å  2θ/deg  intensity
5.492  16.14  63
4.229  21.00  100
3.723  23.90  33
3.626  24.55  47
3.268  27.29  48
2.948  30.32  36
2.845  31.44  58
2.701  33.16  33
2.357  38.18  41
1.942  46.79  33



Theoretical X-ray diffraction stick pattern
Compound: TbPRu2C
Radiation: Cu Kα X-rays
Structure: a PBE-relaxed structure
No peak broadening, texture or thermal motion is included.

Structure:
Lattice parameters (Å, degrees): 5.8328 5.8328 7.0786 90.00 90.00 141.94
Fractional coordinates of all 10 atoms:
Tb  0.0448  0.9552  0.7500
Tb  0.9552  0.0448  0.2500
P  0.2307  0.7693  0.2500
P  0.7693  0.2307  0.7500
Ru  0.3343  0.6657  0.5536
Ru  0.3343  0.6657  0.9464
Ru  0.6657  0.3343  0.0536
Ru  0.6657  0.3343  0.4464
C  0.5000  0.5000  0.0000
C  0.5000  0.5000  0.5000

Largest 10 diffraction maxima, in order of rising 2θ, 15° ≤ 2θ ≤ 90°:
d/Å  2θ/deg  intensity
3.206  27.83  16
2.979  30.00  38
2.643  33.91  78
2.569  34.93  40
2.523  35.59  100
2.476  36.28  34
2.169  41.63  28
1.902  47.82  29
1.484  62.61  25
1.431  65.21  22